[1]
Diffraction record for AcPmNd2Tm4. The X-ray powder pattern is simulated, not measured: it uses DFT lattice parameters and positions (PBE) and λ = 1.5418 Å (Cu Kα).

Peak list (10 most intense, 2θ from 10° to 90°, low angle first)
30.24 deg, I 100; 30.65 deg, I 32; 35.18 deg, I 67; 50.34 deg, I 24; 50.87 deg, I 24; 59.86 deg, I 15; 60.11 deg, I 19; 60.57 deg, I 14; 62.90 deg, I 13; 81.93 deg, I 12

Cell and atoms:
Cell lengths 7.248, 7.248, 12.392 Å; angles 106.97, 106.97, 60.05 degrees
Sites, in units of the cell vectors:
Ac  0.000  0.000  0.000
Ac  0.000  0.000  0.500
Pm  0.000  0.500  0.000
Pm  0.500  0.000  0.000
Nd  0.000  0.500  0.500
Nd  0.500  0.000  0.500
Nd  0.500  0.500  0.000
Nd  0.500  0.500  0.500
Tm  0.252  0.252  0.251
Tm  0.252  0.252  0.752
Tm  0.254  0.746  0.250
Tm  0.254  0.746  0.750
Tm  0.746  0.254  0.250
Tm  0.746  0.254  0.750
Tm  0.748  0.748  0.248
Tm  0.748  0.748  0.749

=====

[2]
Diffraction record for PrTm4Fe. The X-ray powder pattern is simulated, not measured: it uses DFT lattice parameters and positions (PBE) and λ = 1.5418 Å (Cu Kα).

Peak list (10 most intense, 2θ from 10° to 90°, low angle first)
28.62 deg, I 38; 30.02 deg, I 33; 30.25 deg, I 70; 30.74 deg, I 68; 32.29 deg, I 100; 35.93 deg, I 39; 36.60 deg, I 31; 37.02 deg, I 41; 55.19 deg, I 22; 60.90 deg, I 21

Cell and atoms:
Cell lengths 7.799, 7.799, 5.984 Å; angles 100.39, 100.39, 106.22 degrees
Sites, in units of the cell vectors:
Pr  0.106  0.894  0.750
Pr  0.894  0.106  0.250
Tm  0.158  0.342  0.874
Tm  0.233  0.560  0.444
Tm  0.342  0.158  0.374
Tm  0.440  0.767  0.056
Tm  0.560  0.233  0.944
Tm  0.658  0.842  0.626
Tm  0.767  0.440  0.556
Tm  0.842  0.658  0.126
Fe  0.498  0.502  0.250
Fe  0.502  0.498  0.750

=====

[3]
Diffraction record for TbPu2In9. The X-ray powder pattern is simulated, not measured: it uses DFT lattice parameters and positions (PBE) and λ = 1.5418 Å (Cu Kα).

Peak list (10 most intense, 2θ from 10° to 90°, low angle first)
19.07 deg, I 7; 27.10 deg, I 7; 33.35 deg, I 100; 38.70 deg, I 50; 43.48 deg, I 4; 47.88 deg, I 3; 55.88 deg, I 34; 66.66 deg, I 40; 70.04 deg, I 11; 83.04 deg, I 4

Cell and atoms:
Cell lengths 4.652, 4.652, 13.971 Å; angles 90.00, 90.00, 90.00 degrees
Sites, in units of the cell vectors:
Tb  0.000  0.000  0.000
Pu  0.000  0.000  0.332
Pu  0.000  0.000  0.668
In  0.000  0.500  0.167
In  0.000  0.500  0.500
In  0.000  0.500  0.833
In  0.500  0.000  0.167
In  0.500  0.000  0.500
In  0.500  0.000  0.833
In  0.500  0.500  0.000
In  0.500  0.500  0.334
In  0.500  0.500  0.666

=====

[4]
Diffraction record for BaLa5Sn3. The X-ray powder pattern is simulated, not measured: it uses DFT lattice parameters and positions (PBE) and λ = 1.5418 Å (Cu Kα).

Peak list (10 most intense, 2θ from 10° to 90°, low angle first)
31.22 deg, I 100; 40.64 deg, I 5; 44.73 deg, I 18; 52.01 deg, I 4; 55.59 deg, I 29; 61.94 deg, I 15; 65.19 deg, I 6; 74.03 deg, I 8; 79.62 deg, I 7; 87.99 deg, I 6

Cell and atoms:
Cell lengths 9.915, 9.915, 7.033 Å; angles 90.00, 90.00, 120.00 degrees
Sites, in units of the cell vectors:
Ba  0.000  0.000  0.000
Ba  0.000  0.000  0.500
La  0.000  0.336  0.250
La  0.000  0.664  0.750
La  0.333  0.667  0.000
La  0.333  0.667  0.500
La  0.336  0.000  0.250
La  0.336  0.336  0.750
La  0.664  0.000  0.750
La  0.664  0.664  0.250
La  0.667  0.333  0.000
La  0.667  0.333  0.500
Sn  0.000  0.339  0.750
Sn  0.000  0.661  0.250
Sn  0.339  0.000  0.750
Sn  0.339  0.339  0.250
Sn  0.661  0.000  0.250
Sn  0.661  0.661  0.750

=====

[5]
Diffraction record for LiAuBr5. The X-ray powder pattern is simulated, not measured: it uses DFT lattice parameters and positions (PBE) and λ = 1.5418 Å (Cu Kα).

Peak list (10 most intense, 2θ from 10° to 90°, low angle first)
14.08 deg, I 45; 18.64 deg, I 100; 19.29 deg, I 29; 21.20 deg, I 49; 32.55 deg, I 63; 33.43 deg, I 38; 36.05 deg, I 30; 37.82 deg, I 40; 43.16 deg, I 24; 47.34 deg, I 29

Cell and atoms:
Cell lengths 6.912, 6.912, 10.982 Å; angles 113.34, 113.34, 74.64 degrees
Sites, in units of the cell vectors:
Li  0.082  0.918  0.750
Li  0.918  0.082  0.250
Au  0.000  0.500  0.000
Au  0.500  0.000  0.500
Br  0.140  0.350  0.489
Br  0.165  0.594  0.873
Br  0.224  0.776  0.250
Br  0.350  0.140  0.989
Br  0.406  0.835  0.627
Br  0.594  0.165  0.373
Br  0.650  0.860  0.011
Br  0.776  0.224  0.750
Br  0.835  0.406  0.127
Br  0.860  0.650  0.511

=====

[6]
Diffraction record for Tl2InAuCl6. The X-ray powder pattern is simulated, not measured: it uses DFT lattice parameters and positions (PBE) and λ = 1.5418 Å (Cu Kα).

Peak list (10 most intense, 2θ from 10° to 90°, low angle first)
14.31 deg, I 100; 22.82 deg, I 73; 23.23 deg, I 86; 23.37 deg, I 59; 23.70 deg, I 85; 27.31 deg, I 30; 28.85 deg, I 71; 34.15 deg, I 42; 36.82 deg, I 40; 40.98 deg, I 30

Cell and atoms:
Cell lengths 7.503, 7.528, 7.619 Å; angles 118.06, 92.01, 118.72 degrees
Sites, in units of the cell vectors:
Tl  0.000  0.000  0.000
Tl  0.432  0.060  0.491
In  0.163  0.477  0.747
Au  0.895  0.710  0.250
Cl  0.340  0.432  0.473
Cl  0.359  0.378  0.917
Cl  0.391  0.924  0.013
Cl  0.843  0.982  0.512
Cl  0.892  0.501  0.577
Cl  0.907  0.398  0.989

=====

[7]
Diffraction record for Li8Cd3Ga. The X-ray powder pattern is simulated, not measured: it uses DFT lattice parameters and positions (PBE) and λ = 1.5418 Å (Cu Kα).

Peak list (10 most intense, 2θ from 10° to 90°, low angle first)
21.07 deg, I 100; 21.99 deg, I 43; 33.25 deg, I 37; 36.33 deg, I 38; 38.03 deg, I 29; 42.87 deg, I 53; 50.09 deg, I 23; 59.03 deg, I 19; 60.24 deg, I 14; 69.86 deg, I 14

Cell and atoms:
Cell lengths 9.475, 8.574, 5.709 Å; angles 80.40, 63.16, 36.45 degrees
Sites, in units of the cell vectors:
Li  0.090  0.597  0.910
Li  0.154  0.670  0.330
Li  0.330  0.846  0.154
Li  0.403  0.910  0.597
Li  0.597  0.090  0.403
Li  0.670  0.154  0.846
Li  0.846  0.330  0.670
Li  0.910  0.403  0.090
Cd  0.250  0.250  0.250
Cd  0.500  0.500  0.500
Cd  0.750  0.750  0.750
Ga  0.000  0.000  0.000

=====

[8]
Diffraction record for MgGa4Ag8. The X-ray powder pattern is simulated, not measured: it uses DFT lattice parameters and positions (PBE) and λ = 1.5418 Å (Cu Kα).

Peak list (10 most intense, 2θ from 10° to 90°, low angle first)
37.42 deg, I 100; 38.10 deg, I 97; 43.27 deg, I 66; 45.09 deg, I 29; 62.85 deg, I 20; 64.30 deg, I 19; 75.00 deg, I 11; 75.55 deg, I 12; 75.98 deg, I 12; 76.29 deg, I 11

Cell and atoms:
Cell lengths 5.036, 5.036, 11.948 Å; angles 91.52, 91.52, 49.02 degrees
Sites, in units of the cell vectors:
Mg  0.000  0.000  0.000
Ga  0.150  0.150  0.541
Ga  0.375  0.375  0.841
Ga  0.625  0.625  0.159
Ga  0.850  0.850  0.459
Ag  0.066  0.066  0.770
Ag  0.240  0.240  0.313
Ag  0.311  0.311  0.076
Ag  0.452  0.452  0.613
Ag  0.548  0.548  0.387
Ag  0.689  0.689  0.924
Ag  0.760  0.760  0.687
Ag  0.934  0.934  0.230

=====

[9]
Diffraction record for Y2ZnCd5. The X-ray powder pattern is simulated, not measured: it uses DFT lattice parameters and positions (PBE) and λ = 1.5418 Å (Cu Kα).

Peak list (10 most intense, 2θ from 10° to 90°, low angle first)
16.12 deg, I 22; 29.20 deg, I 97; 35.20 deg, I 28; 37.42 deg, I 39; 38.80 deg, I 100; 44.58 deg, I 14; 49.29 deg, I 22; 55.00 deg, I 12; 64.43 deg, I 19; 70.25 deg, I 16

Cell and atoms:
Cell lengths 11.316, 11.316, 11.316 Å; angles 23.67, 23.67, 23.67 degrees
Sites, in units of the cell vectors:
Y  0.090  0.090  0.090
Y  0.910  0.910  0.910
Zn  0.000  0.000  0.000
Cd  0.196  0.196  0.196
Cd  0.362  0.362  0.362
Cd  0.500  0.500  0.500
Cd  0.638  0.638  0.638
Cd  0.804  0.804  0.804